[1]
For CaPSe3, the PBE geometry in the Materials Project gives the simulated powder diffractogram in this record (Cu Kα, 1.54184 Å).
Intensities are scaled so that the largest is 100.

Cell lengths 6.9603, 7.6085, 11.7349 Å; angles 90.00, 124.11, 90.00 degrees
Space group P2_1/c (No. 14)
Symmetry-distinct sites (fractional):
Ca (0.2157, 0.1147, 0.2528) (multiplicity 4)
P (0.1283, 0.6067, 0.0640) (multiplicity 4)
Se (0.0973, 0.1891, 0.9357) (multiplicity 4)
Se (0.2731, 0.7038, 0.9492) (multiplicity 4)
Se (0.3885, 0.0123, 0.7655) (multiplicity 4)

Top 10 peaks for 10° ≤ 2θ ≤ 90°, by angle:
| two_theta | intensity | index |
| --- | --- | --- |
| 26.71 | 25 | 1 2 -1 |
| 28.11 | 29 | 1 2 0 |
| 28.22 | 39 | 2 1 -2 |
| 28.44 | 30 | 1 2 -2 |
| 29.39 | 32 | 2 1 -1 |
| 29.83 | 87 | 0 2 2 |
| 30.00 | 100 | 1 0 2 |
| 32.25 | 79 | 1 1 2 |
| 37.76 | 27 | 1 3 -1 |
| 54.14 | 33 | 4 1 -4 |


[2]
For NiAsSe, the PBE geometry in the Materials Project gives the simulated powder diffractogram in this record (Cu Kα, 1.54184 Å).
Intensities are scaled so that the largest is 100.

Cell lengths 5.8707, 5.8707, 5.8707 Å; angles 90.00, 90.00, 90.00 degrees
Space group P2_13 (No. 198)
Symmetry-distinct sites (fractional):
Ni (0.0033, 0.0033, 0.0033) (multiplicity 4)
As (0.1235, 0.8765, 0.3765) (multiplicity 4)
Se (0.1218, 0.6218, 0.8782) (multiplicity 4)

Top 10 peaks for 10° ≤ 2θ ≤ 90°, by angle:
| two_theta | intensity | index |
| --- | --- | --- |
| 30.45 | 28 | 2 0 0 |
| 34.15 | 100 | 2 1 0 |
| 37.53 | 79 | 2 1 1 |
| 43.61 | 18 | 2 2 0 |
| 51.64 | 71 | 3 1 1 |
| 56.52 | 26 | 3 0 2 |
| 58.86 | 42 | 3 2 1 |
| 73.99 | 20 | 4 2 1 |
| 76.04 | 10 | 3 3 2 |
| 86.05 | 22 | 5 1 1 |


[3]
For Cr2CoSe4, the PBE geometry in the Materials Project gives the simulated powder diffractogram in this record (Cu Kα, 1.54184 Å).
Intensities are scaled so that the largest is 100.

Cell lengths 4.8519, 5.5876, 41.3152 Å; angles 93.03, 90.16, 95.71 degrees
Space group P1 (No. 1)
Symmetry-distinct sites (fractional):
Cr (0.0000, 0.0000, 0.0000) (multiplicity 1)
Cr (0.0010, 0.2776, 0.4696) (multiplicity 1)
Cr (0.0672, 0.7496, 0.7089) (multiplicity 1)
Cr (0.0980, 0.0378, 0.1791) (multiplicity 1)
Cr (0.2238, 0.4081, 0.7964) (multiplicity 1)
Cr (0.2598, 0.5404, 0.1281) (multiplicity 1)
Cr (0.2898, 0.9552, 0.5486) (multiplicity 1)
Cr (0.3324, 0.4536, 0.2987) (multiplicity 1)
Cr (0.4797, 0.2257, 0.7169) (multiplicity 1)
Cr (0.5154, 0.0062, 0.2507) (multiplicity 1)
Cr (0.5526, 0.7915, 0.4679) (multiplicity 1)
Cr (0.5911, 0.0597, 0.9281) (multiplicity 1)
Cr (0.7695, 0.6086, 0.8787) (multiplicity 1)
Cr (0.8204, 0.4774, 0.0500) (multiplicity 1)
Cr (0.8219, 0.1026, 0.6304) (multiplicity 1)
Cr (0.8826, 0.6486, 0.3818) (multiplicity 1)
Co (0.1331, 0.2724, 0.9018) (multiplicity 1)
Co (0.2182, 0.2477, 0.4002) (multiplicity 1)
Co (0.3281, 0.6480, 0.6300) (multiplicity 1)
Co (0.4578, 0.7746, 0.0251) (multiplicity 1)
Co (0.6976, 0.2752, 0.1502) (multiplicity 1)
Co (0.8418, 0.4117, 0.5451) (multiplicity 1)
Co (0.8914, 0.8052, 0.7772) (multiplicity 1)
Co (0.9702, 0.7925, 0.2766) (multiplicity 1)
Se (0.0299, 0.1227, 0.2432) (multiplicity 1)
Se (0.0515, 0.5003, 0.1818) (multiplicity 1)
Se (0.0602, 0.5643, 0.9975) (multiplicity 1)
Se (0.0757, 0.9401, 0.9352) (multiplicity 1)
Se (0.1356, 0.9150, 0.4323) (multiplicity 1)
Se (0.1551, 0.3739, 0.6726) (multiplicity 1)
Se (0.2468, 0.9914, 0.8089) (multiplicity 1)
Se (0.2569, 0.5442, 0.8622) (multiplicity 1)
Se (0.2923, 0.0732, 0.1235) (multiplicity 1)
Se (0.2961, 0.5271, 0.5680) (multiplicity 1)
Se (0.3151, 0.0335, 0.6112) (multiplicity 1)
Se (0.3184, 0.4866, 0.0632) (multiplicity 1)
Se (0.3408, 0.9951, 0.3064) (multiplicity 1)
Se (0.3557, 0.5490, 0.3642) (multiplicity 1)
Se (0.4597, 0.6231, 0.7485) (multiplicity 1)
Se (0.4921, 0.1940, 0.5005) (multiplicity 1)
Se (0.5154, 0.1053, 0.9912) (multiplicity 1)
Se (0.5264, 0.4943, 0.9298) (multiplicity 1)
Se (0.5819, 0.5715, 0.2481) (multiplicity 1)
Se (0.5879, 0.9605, 0.1872) (multiplicity 1)
Se (0.6165, 0.8759, 0.6783) (multiplicity 1)
Se (0.6421, 0.4330, 0.4291) (multiplicity 1)
Se (0.7521, 0.5085, 0.8132) (multiplicity 1)
Se (0.7602, 0.0686, 0.8720) (multiplicity 1)
Se (0.7739, 0.5873, 0.1140) (multiplicity 1)
Se (0.7981, 0.5460, 0.6139) (multiplicity 1)
Se (0.8030, 0.0315, 0.5665) (multiplicity 1)
Se (0.8212, 0.9904, 0.0553) (multiplicity 1)
Se (0.8464, 0.5168, 0.3156) (multiplicity 1)
Se (0.8623, 0.0639, 0.3685) (multiplicity 1)
Se (0.9618, 0.1359, 0.7445) (multiplicity 1)
Se (0.9831, 0.6806, 0.5029) (multiplicity 1)

Top 10 peaks for 10° ≤ 2θ ≤ 90°, by angle:
| two_theta | intensity | index |
| --- | --- | --- |
| 26.95 | 66 | -1 1 6 |
| 28.32 | 42 | 1 1 -6 |
| 31.34 | 53 | 1 -1 10 |
| 32.24 | 46 | 0 2 0 |
| 34.39 | 57 | 1 1 10 |
| 34.79 | 70 | 0 0 16 |
| 35.91 | 58 | 0 2 -8 |
| 38.37 | 100 | 2 0 4 |
| 39.30 | 55 | 1 1 -14 |
| 46.79 | 57 | 0 2 -16 |


[4]
For Pr2Ga3Cu, the PBE geometry in the Materials Project gives the simulated powder diffractogram in this record (Cu Kα, 1.54184 Å).
Intensities are scaled so that the largest is 100.

Cell lengths 4.4762, 4.4762, 7.6990 Å; angles 90.00, 90.00, 120.00 degrees
Space group P3m1 (No. 156)
Symmetry-distinct sites (fractional):
Pr (0.0000, 0.0000, 0.0000) (multiplicity 1)
Pr (0.0000, 0.0000, 0.4703) (multiplicity 1)
Ga (0.3333, 0.6667, 0.2211) (multiplicity 1)
Ga (0.3333, 0.6667, 0.7794) (multiplicity 1)
Ga (0.6667, 0.3333, 0.6939) (multiplicity 1)
Cu (0.6667, 0.3333, 0.2643) (multiplicity 1)

Top 10 peaks for 10° ≤ 2θ ≤ 90°, by angle:
| two_theta | intensity | index |
| --- | --- | --- |
| 22.94 | 14 | 1 0 0 |
| 32.79 | 100 | 1 0 2 |
| 40.30 | 55 | 1 1 0 |
| 42.23 | 8 | 0 1 3 |
| 47.22 | 7 | 0 0 4 |
| 52.89 | 25 | 0 2 2 |
| 63.78 | 17 | 1 1 4 |
| 68.52 | 23 | 2 1 2 |
| 73.25 | 9 | 3 0 0 |
| 87.09 | 6 | 2 2 0 |


[5]
For CaIn4Rh, the PBE geometry in the Materials Project gives the simulated powder diffractogram in this record (Cu Kα, 1.54184 Å).
Intensities are scaled so that the largest is 100.

Cell lengths 8.7800, 4.2855, 7.5868 Å; angles 90.00, 90.00, 90.00 degrees
Space group Pmma (No. 51)
Symmetry-distinct sites (fractional):
Ca (0.2500, 0.0000, 0.0996) (multiplicity 2)
In (0.0000, 0.0000, 0.5000) (multiplicity 2)
In (0.0642, 0.5000, 0.8141) (multiplicity 4)
In (0.2500, 0.5000, 0.4332) (multiplicity 2)
Rh (0.2500, 0.0000, 0.6938) (multiplicity 2)

Top 10 peaks for 10° ≤ 2θ ≤ 90°, by angle:
| two_theta | intensity | index |
| --- | --- | --- |
| 11.66 | 50 | 0 0 1 |
| 15.44 | 38 | 1 0 1 |
| 31.47 | 100 | 2 1 1 |
| 33.15 | 66 | 1 1 2 |
| 37.72 | 95 | 2 1 2 |
| 39.12 | 64 | 3 1 1 |
| 41.17 | 44 | 4 0 0 |
| 42.17 | 46 | 0 2 0 |
| 60.40 | 27 | 4 2 0 |
| 74.18 | 29 | 3 2 4 |


[6]
For CeSe2, the PBE geometry in the Materials Project gives the simulated powder diffractogram in this record (Cu Kα, 1.54184 Å).
Intensities are scaled so that the largest is 100.

Cell lengths 17.2356, 13.4847, 8.3203 Å; angles 90.00, 90.00, 90.00 degrees
Space group Ima2 (No. 46)
Symmetry-distinct sites (fractional):
Ce (0.1021, 0.1440, 0.0000) (multiplicity 8)
Se (0.0000, 0.0000, 0.9075) (multiplicity 4)
Se (0.0798, 0.1916, 0.3153) (multiplicity 8)
Se (0.2500, 0.0764, 0.9588) (multiplicity 4)

Top 10 peaks for 10° ≤ 2θ ≤ 90°, by angle:
| two_theta | intensity | index |
| --- | --- | --- |
| 10.26 | 26 | 2 0 0 |
| 12.50 | 100 | 0 1 1 |
| 16.77 | 66 | 3 1 0 |
| 17.70 | 48 | 1 2 1 |
| 21.36 | 23 | 0 0 2 |
| 22.97 | 32 | 3 2 1 |
| 30.69 | 21 | 4 3 1 |
| 38.12 | 15 | 0 3 3 |
| 38.44 | 15 | 3 2 3 |
| 40.47 | 16 | 7 2 1 |


[7]
For CaCdGe, the PBE geometry in the Materials Project gives the simulated powder diffractogram in this record (Cu Kα, 1.54184 Å).
Intensities are scaled so that the largest is 100.

Cell lengths 7.3842, 7.3842, 4.5110 Å; angles 90.00, 90.00, 120.00 degrees
Space group P-62m (No. 189)
Symmetry-distinct sites (fractional):
Ca (0.0000, 0.5814, 0.0000) (multiplicity 3)
Cd (0.0000, 0.2547, 0.5000) (multiplicity 3)
Ge (0.0000, 0.0000, 0.0000) (multiplicity 1)
Ge (0.3333, 0.6667, 0.5000) (multiplicity 2)

Top 10 peaks for 10° ≤ 2θ ≤ 90°, by angle:
| two_theta | intensity | index |
| --- | --- | --- |
| 19.68 | 40 | 0 0 1 |
| 24.10 | 24 | 1 1 0 |
| 31.31 | 89 | 1 1 1 |
| 34.38 | 87 | 2 0 1 |
| 37.20 | 53 | 2 1 0 |
| 39.97 | 37 | 0 0 2 |
| 42.42 | 100 | 3 0 0 |
| 55.74 | 33 | 2 1 2 |
| 59.68 | 22 | 3 0 2 |
| 67.09 | 43 | 3 2 1 |


[8]
For TmZr3, the PBE geometry in the Materials Project gives the simulated powder diffractogram in this record (Cu Kα, 1.54184 Å).
Intensities are scaled so that the largest is 100.

Cell lengths 6.6334, 6.6334, 5.2079 Å; angles 90.00, 90.00, 120.00 degrees
Space group P6_3/mmc (No. 194)
Symmetry-distinct sites (fractional):
Tm (0.3333, 0.6667, 0.2500) (multiplicity 2)
Zr (0.1624, 0.3249, 0.7500) (multiplicity 6)

Top 10 peaks for 10° ≤ 2θ ≤ 90°, by angle:
| two_theta | intensity | index |
| --- | --- | --- |
| 23.05 | 9 | 1 0 1 |
| 31.14 | 24 | 2 0 0 |
| 34.44 | 25 | 0 0 2 |
| 35.70 | 100 | 2 0 1 |
| 47.11 | 15 | 2 0 2 |
| 55.40 | 18 | 2 2 0 |
| 62.52 | 19 | 2 0 3 |
| 66.89 | 21 | 2 2 2 |
| 67.67 | 15 | 4 0 1 |
| 88.32 | 7 | 4 0 3 |


[9]
For U2FeSi3, the PBE geometry in the Materials Project gives the simulated powder diffractogram in this record (Cu Kα, 1.54184 Å).
Intensities are scaled so that the largest is 100.

Cell lengths 3.6914, 4.0675, 6.9380 Å; angles 90.00, 90.00, 90.00 degrees
Space group Pmm2 (No. 25)
Symmetry-distinct sites (fractional):
U (0.0000, 0.0000, 0.0000) (multiplicity 1)
U (0.0000, 0.5000, 0.4809) (multiplicity 1)
Fe (0.5000, 0.0000, 0.3196) (multiplicity 1)
Si (0.5000, 0.0000, 0.6522) (multiplicity 1)
Si (0.5000, 0.5000, 0.1594) (multiplicity 1)
Si (0.5000, 0.5000, 0.8224) (multiplicity 1)

Top 10 peaks for 10° ≤ 2θ ≤ 90°, by angle:
| two_theta | intensity | index |
| --- | --- | --- |
| 24.11 | 21 | 1 0 0 |
| 25.38 | 60 | 0 1 1 |
| 25.68 | 28 | 0 0 2 |
| 35.29 | 100 | 1 1 1 |
| 35.51 | 49 | 1 0 2 |
| 44.55 | 17 | 0 2 0 |
| 45.10 | 32 | 0 1 3 |
| 56.32 | 15 | 2 1 1 |
| 58.22 | 24 | 1 2 2 |
| 69.08 | 18 | 2 1 3 |


[10]
For Hf2CuIr, the PBE geometry in the Materials Project gives the simulated powder diffractogram in this record (Cu Kα, 1.54184 Å).
Intensities are scaled so that the largest is 100.

Cell lengths 6.5265, 6.5265, 6.5265 Å; angles 90.00, 90.00, 90.00 degrees
Space group Fm-3m (No. 225)
Symmetry-distinct sites (fractional):
Hf (0.2500, 0.2500, 0.2500) (multiplicity 8)
Cu (0.0000, 0.0000, 0.0000) (multiplicity 4)
Ir (0.0000, 0.0000, 0.5000) (multiplicity 4)

Top 10 peaks for 10° ≤ 2θ ≤ 90°, by angle:
| two_theta | intensity | index |
| --- | --- | --- |
| 23.61 | 9 | 1 1 1 |
| 27.33 | 3 | 2 0 0 |
| 39.04 | 100 | 2 2 0 |
| 46.13 | 5 | 3 1 1 |
| 56.39 | 17 | 4 0 0 |
| 61.98 | 2 | 3 3 1 |
| 70.71 | 35 | 4 2 2 |
| 75.73 | 2 | 5 1 1 |
| 83.86 | 11 | 4 4 0 |
| 88.66 | 2 | 5 3 1 |


[11]
For Sr4Se3S, the PBE geometry in the Materials Project gives the simulated powder diffractogram in this record (Cu Kα, 1.54184 Å).
Intensities are scaled so that the largest is 100.

Cell lengths 4.4149, 4.4149, 43.2850 Å; angles 90.00, 90.00, 120.00 degrees
Space group R-3m (No. 166, hexagonal axes)
Symmetry-distinct sites (fractional):
Sr (0.0000, 0.0000, 0.1243) (multiplicity 6)
Sr (0.0000, 0.0000, 0.3729) (multiplicity 6)
Se (0.0000, 0.0000, 0.2515) (multiplicity 6)
Se (0.0000, 0.0000, 0.5000) (multiplicity 3)
S (0.0000, 0.0000, 0.0000) (multiplicity 3)

Top 10 peaks for 10° ≤ 2θ ≤ 90°, by angle:
| two_theta | intensity | index |
| --- | --- | --- |
| 24.69 | 3 | 1 0 4 |
| 25.47 | 1 | 0 1 5 |
| 28.59 | 100 | 0 1 8 |
| 40.87 | 74 | 1 1 0 |
| 48.34 | 2 | 0 2 4 |
| 50.64 | 26 | 2 0 8 |
| 59.18 | 12 | 0 2 16 |
| 67.02 | 33 | 1 2 8 |
| 74.42 | 24 | 3 0 0 |
| 88.59 | 8 | 2 2 0 |


[12]
For Ba2DyInSe5, the PBE geometry in the Materials Project gives the simulated powder diffractogram in this record (Cu Kα, 1.54184 Å).
Intensities are scaled so that the largest is 100.

Cell lengths 4.3216, 19.0964, 13.5191 Å; angles 90.00, 90.00, 90.00 degrees
Space group Cmc2_1 (No. 36)
Symmetry-distinct sites (fractional):
Ba (0.0000, 0.1172, 0.0000) (multiplicity 4)
Ba (0.0000, 0.1325, 0.3676) (multiplicity 4)
Dy (0.0000, 0.2113, 0.6634) (multiplicity 4)
In (0.0000, 0.4476, 0.2443) (multiplicity 4)
Se (0.0000, 0.0505, 0.6305) (multiplicity 4)
Se (0.0000, 0.2910, 0.0245) (multiplicity 4)
Se (0.0000, 0.3129, 0.3116) (multiplicity 4)
Se (0.0000, 0.3562, 0.6808) (multiplicity 4)
Se (0.0000, 0.4950, 0.9155) (multiplicity 4)

Top 10 peaks for 10° ≤ 2θ ≤ 90°, by angle:
| two_theta | intensity | index |
| --- | --- | --- |
| 21.81 | 17 | 0 2 3 |
| 24.90 | 26 | 1 3 0 |
| 28.82 | 59 | 0 6 1 |
| 29.01 | 100 | 1 1 3 |
| 34.02 | 44 | 1 5 2 |
| 37.22 | 14 | 1 5 3 |
| 41.35 | 21 | 1 7 2 |
| 41.82 | 34 | 2 0 0 |
| 47.74 | 21 | 1 7 4 |
| 51.57 | 23 | 2 6 1 |


Copy entry 12 word for word.
For Ba2DyInSe5, the PBE geometry in the Materials Project gives the simulated powder diffractogram in this record (Cu Kα, 1.54184 Å).
Intensities are scaled so that the largest is 100.

Cell lengths 4.3216, 19.0964, 13.5191 Å; angles 90.00, 90.00, 90.00 degrees
Space group Cmc2_1 (No. 36)
Symmetry-distinct sites (fractional):
Ba (0.0000, 0.1172, 0.0000) (multiplicity 4)
Ba (0.0000, 0.1325, 0.3676) (multiplicity 4)
Dy (0.0000, 0.2113, 0.6634) (multiplicity 4)
In (0.0000, 0.4476, 0.2443) (multiplicity 4)
Se (0.0000, 0.0505, 0.6305) (multiplicity 4)
Se (0.0000, 0.2910, 0.0245) (multiplicity 4)
Se (0.0000, 0.3129, 0.3116) (multiplicity 4)
Se (0.0000, 0.3562, 0.6808) (multiplicity 4)
Se (0.0000, 0.4950, 0.9155) (multiplicity 4)

Top 10 peaks for 10° ≤ 2θ ≤ 90°, by angle:
| two_theta | intensity | index |
| --- | --- | --- |
| 21.81 | 17 | 0 2 3 |
| 24.90 | 26 | 1 3 0 |
| 28.82 | 59 | 0 6 1 |
| 29.01 | 100 | 1 1 3 |
| 34.02 | 44 | 1 5 2 |
| 37.22 | 14 | 1 5 3 |
| 41.35 | 21 | 1 7 2 |
| 41.82 | 34 | 2 0 0 |
| 47.74 | 21 | 1 7 4 |
| 51.57 | 23 | 2 6 1 |